Entry 1:
Calculated XRD peak list
Compound: Li3Dy
Radiation: copper Kα
Structure: a DFT-relaxed cell (PBE, Alexandria)
Kinematic intensities with the Lorentz-polarization factor, no thermal factor.

Largest 10 diffraction maxima, most intense first, 5 to 70 degrees two-theta:
d (Å)  2theta  I_rel
16.215  5.5  1000
2.868  31.2  120
8.107  10.9  100
3.123  28.6  99
2.598  34.5  94
2.367  38.0  51
2.393  37.6  44
3.313  26.9  36
1.457  63.9  31
1.792  51.0  29

Crystal structure
```
8
Lattice="3.3843 0.0000 0.0000 0.0000 3.3843 0.0000 0.0000 0.0000 16.2146" Properties=species:S:1:pos:R:3 pbc="T T T"
Li 0.8461 0.8461 0.8761
Li 0.8461 0.8461 4.4433
Li 0.8461 0.8461 13.5226
Li 2.5382 2.5382 2.6920
Li 2.5382 2.5382 11.7713
Li 2.5382 2.5382 15.3386
Dy 0.8461 0.8461 9.3601
Dy 2.5382 2.5382 6.8545
```

Entry 2:
Calculated XRD peak list
Compound: Li3Dy
Radiation: copper Kα
Structure: a DFT-relaxed cell (PBE, Alexandria)
Kinematic intensities with the Lorentz-polarization factor, no thermal factor.

Largest 10 diffraction maxima, most intense first, 5 to 70 degrees two-theta:
d (Å)  2theta  I_rel
5.610  15.8  1000
5.262  16.8  884
3.838  23.2  858
2.451  36.7  624
2.770  32.3  395
2.725  32.9  349
2.475  36.3  328
1.908  47.7  269
3.186  28.0  264
1.955  46.5  260

Crystal structure
```
4
Lattice="3.1858 0.0000 0.0000 0.0000 5.2622 0.0000 0.0000 0.0000 5.6095" Properties=species:S:1:pos:R:3 pbc="T T T"
Li 0.0000 0.0000 0.0000
Li 0.0000 2.6311 1.6518
Li 1.5929 0.0000 2.5520
Dy 1.5929 2.6311 4.4731
```

Entry 3:
Calculated XRD peak list
Compound: LiDy5Mg6
Radiation: copper Kα
Structure: a DFT-relaxed cell (PBE, Alexandria)
Kinematic intensities with the Lorentz-polarization factor, no thermal factor.

Largest 10 diffraction maxima, most intense first, 5 to 70 degrees two-theta:
d (Å)  2theta  I_rel
2.656  33.8  1000
3.753  23.7  869
2.651  33.8  503
1.532  60.4  342
2.167  41.7  260
1.875  48.6  174
6.786  13.0  155
1.677  54.7  151
2.934  30.5  135
7.976  11.1  130

Crystal structure
```
12
Lattice="8.3972 -3.7491 0.0000 8.3972 3.7491 0.0000 -1.6586 0.0000 5.0392" Properties=species:S:1:pos:R:3 pbc="T T T"
Li 0.0000 0.0000 0.0000
Dy 1.9185 0.0000 3.4448
Dy 5.0769 0.0000 1.6838
Dy 8.3972 0.0000 0.0000
Dy 10.0590 0.0000 3.3554
Dy 13.2174 0.0000 1.5944
Mg 4.3820 2.0298 4.2410
Mg 7.5680 2.0635 2.5196
Mg 10.7540 2.0298 0.7982
Mg 4.3820 -2.0298 4.2410
Mg 7.5680 -2.0635 2.5196
Mg 10.7540 -2.0298 0.7982
```

Entry 4:
Calculated XRD peak list
Compound: Li2Dy2Mg3
Radiation: copper Kα
Structure: a DFT-relaxed cell (PBE, Alexandria)
Kinematic intensities with the Lorentz-polarization factor, no thermal factor.

Largest 10 diffraction maxima, most intense first, 5 to 70 degrees two-theta:
d (Å)  2theta  I_rel
11.859  7.5  1000
2.661  33.7  819
3.949  22.5  482
2.586  34.7  289
3.059  29.2  236
1.507  61.5  163
3.600  24.7  150
2.100  43.1  150
1.600  57.6  139
3.445  25.9  123

Crystal structure
```
7
Lattice="2.0017 -11.8585 0.0000 2.0017 11.8585 0.0000 0.0000 0.0000 3.6001" Properties=species:S:1:pos:R:3 pbc="T T T"
Li 2.0017 6.7699 0.0000
Li 2.0017 -6.7699 0.0000
Dy 2.0017 10.0365 0.0000
Dy 2.0017 -10.0365 0.0000
Mg 2.0017 3.8439 1.8001
Mg 2.0017 0.0000 1.8001
Mg 2.0017 -3.8439 1.8001
```

Entry 5:
Calculated XRD peak list
Compound: LiDy3Mg7
Radiation: copper Kα
Structure: a DFT-relaxed cell (PBE, Alexandria)
Kinematic intensities with the Lorentz-polarization factor, no thermal factor.

Largest 10 diffraction maxima, most intense first, 5 to 70 degrees two-theta:
d (Å)  2theta  I_rel
4.574  19.4  1000
2.718  33.0  799
2.975  30.0  595
11.367  7.8  469
2.842  31.5  451
6.378  13.9  419
2.093  43.2  395
3.049  29.3  373
9.148  9.7  313
4.681  19.0  304

Crystal structure
```
22
Lattice="1.6174 -11.3673 0.0000 1.6174 11.3673 0.0000 0.0000 0.0000 15.4090" Properties=species:S:1:pos:R:3 pbc="T T T"
Li 1.6174 10.6598 11.5568
Li 1.6174 -10.6598 3.8523
Dy 1.6174 8.6445 0.7289
Dy 1.6174 8.6445 6.9756
Dy 1.6174 5.4080 11.5568
Dy 1.6174 -5.4080 3.8523
Dy 1.6174 -8.6445 8.4334
Dy 1.6174 -8.6445 14.6801
Mg 1.6174 5.3577 1.1334
Mg 1.6174 5.3577 6.5711
Mg 1.6174 2.9034 2.4107
Mg 1.6174 2.9034 5.2938
Mg 1.6174 1.9960 11.5568
Mg 1.6174 0.1523 1.4289
Mg 1.6174 0.1523 6.2756
Mg 1.6174 -0.1523 9.1334
Mg 1.6174 -0.1523 13.9801
Mg 1.6174 -1.9960 3.8523
Mg 1.6174 -2.9034 10.1152
Mg 1.6174 -2.9034 12.9983
Mg 1.6174 -5.3577 8.8380
Mg 1.6174 -5.3577 14.2756
```

Entry 6:
Calculated XRD peak list
Compound: Li5DyMg5
Radiation: copper Kα
Structure: a DFT-relaxed cell (PBE, Alexandria)
Kinematic intensities with the Lorentz-polarization factor, no thermal factor.

Largest 10 diffraction maxima, most intense first, 5 to 70 degrees two-theta:
d (Å)  2theta  I_rel
2.657  33.7  1000
9.755  9.1  937
4.605  19.3  532
4.164  21.3  405
3.348  26.6  372
1.534  60.3  344
2.565  35.0  318
2.058  44.0  180
1.879  48.4  171
1.387  67.5  146

Crystal structure
```
11
Lattice="5.3171 0.0000 0.0000 -2.6586 4.6048 0.0000 0.0000 0.0000 9.7545" Properties=species:S:1:pos:R:3 pbc="T T T"
Li 0.0000 0.0000 2.2903
Li 0.0000 0.0000 7.4643
Li 1.3629 0.7869 0.0000
Li 3.9542 0.7869 0.0000
Li 2.6586 3.0310 0.0000
Dy 0.0000 3.0698 4.8773
Mg 0.0000 0.0000 4.8773
Mg 0.0000 3.0698 1.6100
Mg 0.0000 3.0698 8.1445
Mg 2.6586 1.5349 3.1788
Mg 2.6586 1.5349 6.5758
```

Entry 7:
Calculated XRD peak list
Compound: LiDy6Mg
Radiation: copper Kα
Structure: a DFT-relaxed cell (PBE, Alexandria)
Kinematic intensities with the Lorentz-polarization factor, no thermal factor.

Largest 10 diffraction maxima, most intense first, 5 to 70 degrees two-theta:
d (Å)  2theta  I_rel
2.768  32.3  1000
2.782  32.2  628
4.372  20.3  395
2.761  32.4  224
4.404  20.2  199
3.099  28.8  170
1.789  51.0  152
2.534  35.4  141
1.718  53.3  129
2.526  35.5  128

Crystal structure
```
8
Lattice="6.1871 0.0000 0.0000 -0.0020 6.1996 0.0000 -0.0548 -0.0552 6.2078" Properties=species:S:1:pos:R:3 pbc="T T T"
Li 0.0000 0.0000 0.0000
Dy 0.1204 2.9580 1.5605
Dy 1.5252 6.0112 3.1916
Dy 2.9433 1.5079 6.0430
Dy 3.1869 4.6365 0.1649
Dy 4.6050 0.1332 3.0162
Dy 6.0099 3.1864 4.6473
Mg 3.0651 3.0722 3.1039
```

Entry 8:
Calculated XRD peak list
Compound: Li4DyMg15
Radiation: copper Kα
Structure: a DFT-relaxed cell (PBE, Alexandria)
Kinematic intensities with the Lorentz-polarization factor, no thermal factor.

Largest 10 diffraction maxima, most intense first, 5 to 70 degrees two-theta:
d (Å)  2theta  I_rel
2.594  34.6  1000
11.180  7.9  497
2.252  40.0  376
4.414  20.1  304
4.177  21.3  264
1.357  69.2  258
7.453  11.9  219
1.587  58.1  216
3.854  23.1  202
2.237  40.3  196

Crystal structure
```
20
Lattice="4.5031 0.0000 0.0000 0.0000 4.5031 0.0000 0.0000 0.0000 22.3603" Properties=species:S:1:pos:R:3 pbc="T T T"
Li 0.0000 0.0000 2.1478
Li 0.0000 0.0000 6.6189
Li 0.0000 0.0000 15.7414
Li 0.0000 0.0000 20.2125
Dy 0.0000 0.0000 11.1802
Mg 0.0000 2.2515 0.0000
Mg 0.0000 2.2515 4.3631
Mg 0.0000 2.2515 8.7751
Mg 0.0000 2.2515 13.5852
Mg 0.0000 2.2515 17.9972
Mg 2.2515 0.0000 0.0000
Mg 2.2515 0.0000 4.3631
Mg 2.2515 0.0000 8.7751
Mg 2.2515 0.0000 13.5852
Mg 2.2515 0.0000 17.9972
Mg 2.2515 2.2515 2.1874
Mg 2.2515 2.2515 6.5187
Mg 2.2515 2.2515 11.1802
Mg 2.2515 2.2515 15.8416
Mg 2.2515 2.2515 20.1729
```